Diffraction record for CsSbH2F8. The XRD peak list is theoretical, not measured: it uses the GGA-PBE geometry in Alexandria and Cu Kα, 1.54184 Å.

Structural model:
```
data_CsSbH2F8
_chemical_formula_sum 'Cs1 Sb1 H2 F8'
_cell_length_a 5.0416
_cell_length_b 5.1609
_cell_length_c 8.4621
_cell_angle_alpha 79.61
_cell_angle_beta 88.65
_cell_angle_gamma 69.14
_space_group_name_H-M_alt 'P 1'
_space_group_IT_number 1
loop_
_space_group_symop_operation_xyz
'x,y,z'
loop_
_atom_site_label
_atom_site_type_symbol
_atom_site_fract_x
_atom_site_fract_y
_atom_site_fract_z
_atom_site_occupancy
Cs1 Cs 0.0000 0.0000 0.0000 1
Sb1 Sb 0.0000 0.0000 0.5000 1
H1 H 0.4639 0.3100 0.2214 1
H2 H 0.5361 0.6900 0.7786 1
F1 F 0.2223 0.2322 0.4858 1
F2 F 0.2276 0.8029 0.3443 1
F3 F 0.2477 0.7400 0.6792 1
F4 F 0.3492 0.3318 0.1263 1
F5 F 0.6508 0.6682 0.8737 1
F6 F 0.7523 0.2600 0.3208 1
F7 F 0.7724 0.1971 0.6557 1
F8 F 0.7777 0.7678 0.5142 1
```

Main lines, sorted by position (5 to 70 degrees two-theta):
index  2θ (°)  d [Å]  I/Imax
0 1 0  18.72  4.740  59
1 0 0  18.85  4.707  55
1 1 0  21.34  4.163  100
0 1 2  25.77  3.457  22
1 0 -2  28.00  3.187  29
1 1 2  28.40  3.143  18
1 0 2  29.28  3.050  19
0 1 -2  31.16  2.871  42
-1 1 2  35.50  2.529  20
1 2 0  35.81  2.508  16